Entry 1:
Structure and calculated powder XRD pattern of Np2UO11 (a GGA-PBE-relaxed structure; CuKα).

Largest 10 diffraction maxima, in order of rising 2θ, 10° ≤ 2θ ≤ 80°:
| 2θ/deg | I/Imax | hkl |
| --- | --- | --- |
| 21.80 | 93 | 2 1 1 |
| 23.28 | 47 | 1 2 1 |
| 24.48 | 73 | 1 1 2 |
| 25.31 | 100 | 2 2 0 |
| 26.79 | 59 | 2 0 2 |
| 28.41 | 39 | 0 2 2 |
| 44.45 | 33 | 4 2 2 |
| 45.97 | 33 | 4 3 1 |
| 46.56 | 44 | 2 3 3 |
| 47.76 | 35 | 3 4 1 |

Atomic structure:
```
data_Np2UO11
_chemical_formula_sum 'Np8 U4 O44'
_symmetry_space_group_name_H-M 'I m a 2'
_symmetry_Int_Tables_number 46
_cell_length_a 10.713
_cell_length_b 9.334
_cell_length_c 8.495
_cell_angle_alpha 90.00
_cell_angle_beta 90.00
_cell_angle_gamma 90.00
loop_
_symmetry_equiv_pos_as_xyz
'x,y,z'
'-x,-y,z'
'-x+1/2,y,z'
'x+1/2,-y,z'
'x+1/2,y+1/2,z+1/2'
'-x+1/2,-y+1/2,z+1/2'
'-x,y+1/2,z+1/2'
'x,-y+1/2,z+1/2'
loop_
_atom_site_label
_atom_site_fract_x
_atom_site_fract_y
_atom_site_fract_z
Np1 0.250 0.185 0.000
Np2 0.250 0.708 0.853
U1 0.000 0.000 0.650
O1 0.107 0.159 0.601
O2 0.114 0.088 0.902
O3 0.120 0.596 0.956
O4 0.123 0.671 0.263
O5 0.250 0.191 0.325
O6 0.250 0.526 0.648
O7 0.250 0.656 0.566
```



Entry 2:
Structure and calculated powder XRD pattern of Pr4Ho4Tm (a GGA-PBE-relaxed structure; CuKα).

Largest 10 diffraction maxima, in order of rising 2θ, 10° ≤ 2θ ≤ 80°:
| 2θ/deg | I/Imax | hkl |
| --- | --- | --- |
| 30.38 | 100 | 3 0 1 |
| 35.15 | 34 | 3 3 0 |
| 35.37 | 17 | 0 0 2 |
| 50.56 | 12 | 6 0 0 |
| 50.73 | 24 | 3 3 2 |
| 60.14 | 29 | 6 3 1 |
| 60.43 | 14 | 3 0 3 |
| 63.22 | 12 | 6 0 2 |
| 74.31 | 4 | 6 6 0 |
| 74.84 | 2 | 0 0 4 |

Atomic structure:
```
data_Pr4Ho4Tm
_chemical_formula_sum 'Pr8 Ho8 Tm2'
_symmetry_space_group_name_H-M 'I 4/m m m'
_symmetry_Int_Tables_number 139
_symmetry_space_group_name_Hall '-I 4 2'
_cell_length_a 10.831
_cell_length_b 10.831
_cell_length_c 5.075
_cell_angle_alpha 90.00
_cell_angle_beta 90.00
_cell_angle_gamma 90.00
loop_
_atom_site_label
_atom_site_fract_x
_atom_site_fract_y
_atom_site_fract_z
Pr1 0.166 0.166 0.000
Ho1 0.000 0.335 0.500
Tm1 0.000 0.000 0.500
```



Entry 3:
Structure and calculated powder XRD pattern of Ca2Pu2Sb2N (a GGA-PBE-relaxed structure; CuKα).

Largest 10 diffraction maxima, in order of rising 2θ, 10° ≤ 2θ ≤ 80°:
| 2θ/deg | I/Imax | hkl |
| --- | --- | --- |
| 10.60 | 100 | 0 0 2 |
| 28.95 | 78 | 1 1 2 |
| 32.18 | 24 | 0 0 6 |
| 34.53 | 88 | 1 1 4 |
| 38.36 | 42 | 2 0 0 |
| 39.90 | 18 | 2 0 2 |
| 50.91 | 27 | 2 0 6 |
| 59.27 | 14 | 2 0 8 |
| 63.68 | 17 | 3 1 2 |
| 66.91 | 26 | 3 1 4 |

Atomic structure:
```
data_Ca2Pu2Sb2N
_chemical_formula_sum 'Ca4 Pu4 Sb4 N2'
_symmetry_space_group_name_H-M 'I 4/m m m'
_symmetry_Int_Tables_number 139
_symmetry_space_group_name_Hall '-I 4 2'
_cell_length_a 4.694
_cell_length_b 4.694
_cell_length_c 16.690
_cell_angle_alpha 90.00
_cell_angle_beta 90.00
_cell_angle_gamma 90.00
loop_
_atom_site_label
_atom_site_fract_x
_atom_site_fract_y
_atom_site_fract_z
Ca1 0.000 0.000 0.168
Pu1 0.000 0.500 0.000
Sb1 0.000 0.000 0.361
N1 0.000 0.000 0.000
```



Repeat the third record exactly.
Structure and calculated powder XRD pattern of Ca2Pu2Sb2N (a GGA-PBE-relaxed structure; CuKα).

Largest 10 diffraction maxima, in order of rising 2θ, 10° ≤ 2θ ≤ 80°:
| 2θ/deg | I/Imax | hkl |
| --- | --- | --- |
| 10.60 | 100 | 0 0 2 |
| 28.95 | 78 | 1 1 2 |
| 32.18 | 24 | 0 0 6 |
| 34.53 | 88 | 1 1 4 |
| 38.36 | 42 | 2 0 0 |
| 39.90 | 18 | 2 0 2 |
| 50.91 | 27 | 2 0 6 |
| 59.27 | 14 | 2 0 8 |
| 63.68 | 17 | 3 1 2 |
| 66.91 | 26 | 3 1 4 |

Atomic structure:
```
data_Ca2Pu2Sb2N
_chemical_formula_sum 'Ca4 Pu4 Sb4 N2'
_symmetry_space_group_name_H-M 'I 4/m m m'
_symmetry_Int_Tables_number 139
_symmetry_space_group_name_Hall '-I 4 2'
_cell_length_a 4.694
_cell_length_b 4.694
_cell_length_c 16.690
_cell_angle_alpha 90.00
_cell_angle_beta 90.00
_cell_angle_gamma 90.00
loop_
_atom_site_label
_atom_site_fract_x
_atom_site_fract_y
_atom_site_fract_z
Ca1 0.000 0.000 0.168
Pu1 0.000 0.500 0.000
Sb1 0.000 0.000 0.361
N1 0.000 0.000 0.000
```



What did the first record say?
Structure and calculated powder XRD pattern of Np2UO11 (a GGA-PBE-relaxed structure; CuKα).

Largest 10 diffraction maxima, in order of rising 2θ, 10° ≤ 2θ ≤ 80°:
| 2θ/deg | I/Imax | hkl |
| --- | --- | --- |
| 21.80 | 93 | 2 1 1 |
| 23.28 | 47 | 1 2 1 |
| 24.48 | 73 | 1 1 2 |
| 25.31 | 100 | 2 2 0 |
| 26.79 | 59 | 2 0 2 |
| 28.41 | 39 | 0 2 2 |
| 44.45 | 33 | 4 2 2 |
| 45.97 | 33 | 4 3 1 |
| 46.56 | 44 | 2 3 3 |
| 47.76 | 35 | 3 4 1 |

Atomic structure:
```
data_Np2UO11
_chemical_formula_sum 'Np8 U4 O44'
_symmetry_space_group_name_H-M 'I m a 2'
_symmetry_Int_Tables_number 46
_cell_length_a 10.713
_cell_length_b 9.334
_cell_length_c 8.495
_cell_angle_alpha 90.00
_cell_angle_beta 90.00
_cell_angle_gamma 90.00
loop_
_symmetry_equiv_pos_as_xyz
'x,y,z'
'-x,-y,z'
'-x+1/2,y,z'
'x+1/2,-y,z'
'x+1/2,y+1/2,z+1/2'
'-x+1/2,-y+1/2,z+1/2'
'-x,y+1/2,z+1/2'
'x,-y+1/2,z+1/2'
loop_
_atom_site_label
_atom_site_fract_x
_atom_site_fract_y
_atom_site_fract_z
Np1 0.250 0.185 0.000
Np2 0.250 0.708 0.853
U1 0.000 0.000 0.650
O1 0.107 0.159 0.601
O2 0.114 0.088 0.902
O3 0.120 0.596 0.956
O4 0.123 0.671 0.263
O5 0.250 0.191 0.325
O6 0.250 0.526 0.648
O7 0.250 0.656 0.566
```